[1]
Structure and calculated X-ray powder pattern of Nd4CuNiO8 (the PBE+U geometry in the Materials Project; a wavelength of 1.5418 Å).

Peak list (10 most intense, 2θ from 10° to 90°, in order of falling intensity)
2θ = 31.58°, intensity 100
2θ = 33.28°, intensity 35
2θ = 32.89°, intensity 35
2θ = 47.49°, intensity 34
2θ = 42.89°, intensity 33
2θ = 24.29°, intensity 28
2θ = 58.40°, intensity 23
2θ = 57.90°, intensity 19
2θ = 43.89°, intensity 15
2θ = 44.20°, intensity 15

Atomic structure:
Lattice parameters (Å, degrees): 12.6363 3.8296 3.8296 89.35 90.00 90.00
Positions (direct):
Nd  0.1339  0.0000  0.0000
Nd  0.3608  0.4912  0.4912
Nd  0.6392  0.4912  0.4912
Nd  0.8661  0.0000  0.0000
Cu  0.5000  0.9999  0.9999
Ni  0.0000  0.5086  0.5086
O  0.0000  0.0088  0.4968
O  0.0000  0.4968  0.0088
O  0.1772  0.5371  0.5371
O  0.3128  0.0499  0.0499
O  0.5000  0.5014  0.9934
O  0.5000  0.9934  0.5014
O  0.6872  0.0499  0.0499
O  0.8228  0.5371  0.5371

[2]
Structure and calculated X-ray powder pattern of CrSnP2O8 (the PBE+U geometry in the Materials Project; a wavelength of 1.5418 Å).

Peak list (10 most intense, 2θ from 10° to 90°, in order of falling intensity)
2θ = 24.61°, intensity 100
2θ = 17.46°, intensity 100
2θ = 28.96°, intensity 88
2θ = 24.32°, intensity 72
2θ = 35.38°, intensity 64
2θ = 34.81°, intensity 54
2θ = 16.82°, intensity 46
2θ = 19.86°, intensity 44
2θ = 19.53°, intensity 39
2θ = 29.10°, intensity 27

Atomic structure:
Lattice parameters (Å, degrees): 5.0320 6.1673 10.1620 90.00 91.20 90.00
Positions (direct):
Cr  0.0770  0.2500  0.2174
Cr  0.9230  0.7500  0.7826
Sn  0.4557  0.2500  0.7168
Sn  0.5443  0.7500  0.2832
P  0.1002  0.7500  0.1008
P  0.4108  0.7500  0.5962
P  0.5892  0.2500  0.4038
P  0.8998  0.2500  0.8992
O  0.1375  0.7500  0.9543
O  0.2001  0.2500  0.8690
O  0.2526  0.5580  0.1738
O  0.2526  0.9420  0.1738
O  0.2762  0.5494  0.6652
O  0.2762  0.9506  0.6652
O  0.2892  0.2500  0.3888
O  0.3231  0.7500  0.4483
O  0.6769  0.2500  0.5517
O  0.7108  0.7500  0.6112
O  0.7238  0.0494  0.3348
O  0.7238  0.4506  0.3348
O  0.7474  0.0580  0.8262
O  0.7474  0.4420  0.8262
O  0.7999  0.7500  0.1310
O  0.8625  0.2500  0.0457

[3]
Structure and calculated X-ray powder pattern of MgMn2O4 (the PBE+U geometry in the Materials Project; a wavelength of 1.5418 Å).

Peak list (10 most intense, 2θ from 10° to 90°, in order of falling intensity)
2θ = 34.67°, intensity 100
2θ = 18.06°, intensity 96
2θ = 34.29°, intensity 81
2θ = 35.14°, intensity 62
2θ = 61.60°, intensity 57
2θ = 41.56°, intensity 40
2θ = 42.16°, intensity 38
2θ = 43.01°, intensity 36
2θ = 17.92°, intensity 35
2θ = 29.67°, intensity 31

Atomic structure:
Lattice parameters (Å, degrees): 6.0261 6.0699 8.5742 90.05 90.39 91.86
Positions (direct):
Mg  0.0000  0.0000  0.0000
Mg  0.2327  0.0009  0.6247
Mg  0.4972  0.4939  0.5050
Mg  0.7368  0.5038  0.1219
Mn  0.2301  0.5035  0.1184
Mn  0.4662  0.0092  0.2436
Mn  0.4818  0.2531  0.8731
Mn  0.4829  0.7514  0.8697
Mn  0.7343  0.0032  0.6265
Mn  0.9676  0.5088  0.7424
Mn  0.9817  0.7539  0.3721
Mn  0.9826  0.2586  0.3773
O  0.1901  0.0082  0.3839
O  0.2211  0.4822  0.3769
O  0.2537  0.5296  0.8658
O  0.2745  0.9927  0.8671
O  0.4722  0.2787  0.0997
O  0.4775  0.7311  0.1000
O  0.4919  0.7737  0.6383
O  0.5044  0.2248  0.6443
O  0.6901  0.5127  0.8784
O  0.7271  0.9742  0.8571
O  0.7347  0.0290  0.3979
O  0.7663  0.5023  0.3666
O  0.9589  0.7821  0.6027
O  0.9729  0.2162  0.6329
O  0.9924  0.2835  0.1153
O  0.9963  0.7372  0.1430

[4]
Structure and calculated X-ray powder pattern of MnH10SO9 (the PBE+U geometry in the Materials Project; a wavelength of 1.5418 Å).

Peak list (10 most intense, 2θ from 10° to 90°, in order of falling intensity)
2θ = 17.79°, intensity 100
2θ = 32.42°, intensity 67
2θ = 23.51°, intensity 58
2θ = 30.12°, intensity 46
2θ = 27.05°, intensity 43
2θ = 15.73°, intensity 39
2θ = 15.26°, intensity 38
2θ = 21.97°, intensity 38
2θ = 36.33°, intensity 26
2θ = 31.47°, intensity 24

Atomic structure:
Lattice parameters (Å, degrees): 6.1799 6.3327 10.9600 75.46 81.59 70.05
Positions (direct):
Mn  0.0000  0.0000  0.0000
Mn  0.0000  0.5000  0.5000
H  0.0921  0.3244  0.1057
H  0.1205  0.1559  0.7074
H  0.1813  0.6275  0.8745
H  0.2352  0.7908  0.5176
H  0.2695  0.9193  0.3077
H  0.2705  0.6019  0.6478
H  0.2861  0.1136  0.3679
H  0.3607  0.1394  0.6279
H  0.3787  0.1626  0.8715
H  0.4555  0.8872  0.8866
H  0.5445  0.1128  0.1134
H  0.6213  0.8374  0.1285
H  0.6393  0.8606  0.3721
H  0.7139  0.8864  0.6321
H  0.7295  0.3981  0.3522
H  0.7305  0.0807  0.6923
H  0.7648  0.2092  0.4824
H  0.8187  0.3725  0.1255
H  0.8795  0.8441  0.2926
H  0.9079  0.6756  0.8943
S  0.3432  0.5257  0.2143
S  0.6568  0.4743  0.7857
O  0.0348  0.7298  0.9061
O  0.1659  0.6833  0.5790
O  0.1727  0.7623  0.1795
O  0.1915  0.1792  0.6211
O  0.2858  0.4194  0.3479
O  0.3259  0.0264  0.8993
O  0.3377  0.3792  0.1288
O  0.3397  0.9453  0.3750
O  0.4207  0.4516  0.7953
O  0.5793  0.5484  0.2047
O  0.6603  0.0547  0.6250
O  0.6623  0.6208  0.8712
O  0.6741  0.9736  0.1007
O  0.7142  0.5806  0.6521
O  0.8085  0.8208  0.3789
O  0.8273  0.2377  0.8205
O  0.8341  0.3167  0.4210
O  0.9652  0.2702  0.0939

[5]
Structure and calculated X-ray powder pattern of KEuFeSnO6 (the PBE+U geometry in the Materials Project; a wavelength of 1.5418 Å).

Peak list (10 most intense, 2θ from 10° to 90°, in order of falling intensity)
2θ = 31.53°, intensity 100
2θ = 56.14°, intensity 39
2θ = 45.19°, intensity 34
2θ = 19.15°, intensity 29
2θ = 65.82°, intensity 20
2θ = 37.15°, intensity 19
2θ = 74.81°, intensity 17
2θ = 49.50°, intensity 9
2θ = 83.43°, intensity 7
2θ = 69.25°, intensity 7

Atomic structure:
Lattice parameters (Å, degrees): 5.6755 5.6755 5.6755 60.00 60.00 60.00
Positions (direct):
K  0.0000  0.0000  0.0000
Eu  0.5000  0.5000  0.5000
Fe  0.2500  0.2500  0.2500
Sn  0.7500  0.7500  0.7500
O  0.0055  0.0055  0.4945
O  0.0055  0.4945  0.0055
O  0.0055  0.4945  0.4945
O  0.4945  0.0055  0.0055
O  0.4945  0.0055  0.4945
O  0.4945  0.4945  0.0055

[6]
Structure and calculated X-ray powder pattern of Li3VSiO5 (the PBE+U geometry in the Materials Project; a wavelength of 1.5418 Å).

Peak list (10 most intense, 2θ from 10° to 90°, in order of falling intensity)
2θ = 18.40°, intensity 100
2θ = 21.43°, intensity 54
2θ = 43.40°, intensity 51
2θ = 43.74°, intensity 50
2θ = 45.94°, intensity 44
2θ = 29.89°, intensity 27
2θ = 62.57°, intensity 14
2θ = 64.06°, intensity 13
2θ = 64.60°, intensity 12
2θ = 64.79°, intensity 12

Atomic structure:
Lattice parameters (Å, degrees): 5.1124 5.8150 6.2691 76.02 76.08 73.67
Positions (direct):
Li  0.0175  0.2388  0.4928
Li  0.1771  0.0509  0.1082
Li  0.1939  0.5508  0.1021
Li  0.8061  0.4492  0.8979
Li  0.8229  0.9491  0.8918
Li  0.9825  0.7612  0.5072
V  0.4023  0.3445  0.7177
V  0.5977  0.6555  0.2823
Si  0.3990  0.8500  0.7130
Si  0.6010  0.1500  0.2870
O  0.1482  0.1165  0.7838
O  0.1490  0.6711  0.7804
O  0.3403  0.4165  0.3914
O  0.3413  0.9583  0.4050
O  0.4986  0.2428  0.0236
O  0.5014  0.7572  0.9764
O  0.6587  0.0417  0.5950
O  0.6597  0.5835  0.6086
O  0.8510  0.3289  0.2196
O  0.8518  0.8835  0.2162

[7]
Structure and calculated X-ray powder pattern of Li9Mn2Co5O16 (the PBE+U geometry in the Materials Project; a wavelength of 1.5418 Å).

Peak list (10 most intense, 2θ from 10° to 90°, in order of falling intensity)
2θ = 18.33°, intensity 100
2θ = 40.55°, intensity 36
2θ = 44.26°, intensity 27
2θ = 45.07°, intensity 25
2θ = 33.88°, intensity 21
2θ = 62.22°, intensity 16
2θ = 36.90°, intensity 15
2θ = 36.32°, intensity 13
2θ = 61.35°, intensity 9
2θ = 61.79°, intensity 9

Atomic structure:
Lattice parameters (Å, degrees): 3.0328 6.0265 16.0938 90.64 90.72 94.77
Positions (direct):
Li  0.0000  0.0000  0.0000
Li  0.9998  0.4984  0.7511
Li  0.0008  0.0013  0.4984
Li  0.0006  0.4999  0.9995
Li  0.0019  0.5011  0.2489
Li  0.4991  0.7454  0.8760
Li  0.5000  0.7510  0.3741
Li  0.5006  0.2487  0.6259
Li  0.5032  0.2557  0.1225
Mn  0.0014  0.4967  0.4989
Mn  0.5010  0.7535  0.6260
Co  0.0015  0.0013  0.2479
Co  0.0023  0.0028  0.7523
Co  0.4995  0.2615  0.8801
Co  0.4990  0.7384  0.1199
Co  0.5043  0.2483  0.3729
O  0.0193  0.5193  0.1245
O  0.0250  0.0152  0.8693
O  0.0275  0.5063  0.6211
O  0.0329  0.0095  0.3687
O  0.4729  0.2371  0.7600
O  0.4740  0.7430  0.5038
O  0.4903  0.7610  0.2399
O  0.4967  0.7540  0.0121
O  0.5036  0.2454  0.9875
O  0.5153  0.2369  0.2550
O  0.5228  0.2552  0.4928
O  0.5297  0.7646  0.7470
O  0.9714  0.9888  0.1294
O  0.9725  0.4868  0.3773
O  0.9775  0.4802  0.8746
O  0.9774  0.9968  0.6318